For CdHg3, a cell relaxed with GGA-PBE gives the computed X-ray powder pattern in this record (λ = 1.5418 Å (Cu Kα)).
Lines closer than 0.1° are merged.

Peak list (6 most intense, 5° ≤ 2θ ≤ 70°, low angle first)
d 2.707, rel. 100; d 2.688, rel. 49; d 2.622, rel. 46; d 2.364, rel. 69; d 2.242, rel. 29; d 1.642, rel. 23

Structural model:
a b c (Å): 5.6355 5.6355 5.6342
angles (deg): 102.00 102.00 35.06
Fractional coordinates of all 4 atoms:
Cd 0.0000 0.0000 0.0000
Hg 0.2549 0.2549 0.7553
Hg 0.5000 0.5000 0.5000
Hg 0.7451 0.7451 0.2447